The following is a simulated X-ray powder pattern of La4Fe3NiO12. It was derived from a structure optimized by DFT (GGA+U), using Cu Kα.
Peak positions follow from Bragg's law for the DFT cell and can differ from measured ones.

Principal peaks in the range 10° ≤ 2θ ≤ 80°, low angle first:
2theta, d/Å, I/Imax
31.9, 2.802, 100.0
32.0, 2.795, 19.5
39.4, 2.287, 16.8
45.9, 1.978, 22.0
56.9, 1.619, 16.3
57.0, 1.615, 16.6

```
La4Fe3NiO12
1.0
5.5891 0.0000 0.0000
-0.0103 5.5987 0.0000
-0.0004 -0.0140 7.9447
La Fe Ni O
4 3 1 12
direct
0.0044 0.0305 0.2527
0.4905 0.5340 0.2528
0.5095 0.4660 0.7472
0.9956 0.9695 0.7473
0.0000 0.5000 0.0000
0.0000 0.5000 0.5000
0.5000 0.0000 0.0000
0.5000 0.0000 0.5000
0.0804 0.5138 0.7523
0.2082 0.7833 0.4609
0.2166 0.7843 0.0437
0.2809 0.2906 0.4606
0.2826 0.2833 0.0443
0.4248 0.0143 0.7537
0.5752 0.9857 0.2463
0.7174 0.7167 0.9557
0.7191 0.7094 0.5394
0.7834 0.2157 0.9563
0.7917 0.2167 0.5391
0.9196 0.4862 0.2477
```


The following is a simulated X-ray powder pattern of La4FeNi3O12. It was derived from a structure optimized by DFT (GGA+U), using Cu Kα.
Peak positions follow from Bragg's law for the DFT cell and can differ from measured ones.

Principal peaks in the range 10° ≤ 2θ ≤ 80°, low angle first:
2theta, d/Å, I/Imax
22.8, 3.895, 23.4
32.2, 2.780, 99.2
32.8, 2.729, 100.0
39.8, 2.263, 20.8
46.6, 1.947, 59.2
57.8, 1.596, 27.3

```
La4FeNi3O12
1.0
5.4616 0.0000 0.0000
0.0017 5.5556 0.0000
0.2032 0.0175 7.7935
La Fe Ni O
4 1 3 12
direct
0.0025 0.0013 0.2461
0.4979 0.4984 0.7543
0.5021 0.5016 0.2457
0.9975 0.9987 0.7539
0.0000 0.5000 0.5000
0.0000 0.5000 0.0000
0.5000 0.0000 0.0000
0.5000 0.0000 0.5000
0.0026 0.4387 0.2514
0.2134 0.7835 0.4683
0.2220 0.2157 0.9668
0.2822 0.7243 0.0346
0.2834 0.2876 0.5308
0.4985 0.0690 0.2474
0.5015 0.9310 0.7526
0.7166 0.7124 0.4692
0.7178 0.2757 0.9654
0.7780 0.7843 0.0332
0.7866 0.2165 0.5317
0.9974 0.5613 0.7486
```


The following is a simulated X-ray powder pattern of La4FeNi3O12. It was derived from a structure optimized by DFT (GGA+U), using Cu Kα.
Peak positions follow from Bragg's law for the DFT cell and can differ from measured ones.

Principal peaks in the range 10° ≤ 2θ ≤ 80°, low angle first:
2theta, d/Å, I/Imax
22.8, 3.905, 23.4
32.1, 2.789, 99.6
32.8, 2.734, 100.0
46.5, 1.952, 59.5
57.2, 1.610, 23.7
57.6, 1.599, 40.9

```
La4FeNi3O12
1.0
5.4682 0.0000 0.0000
2.6229 4.7993 0.0000
2.4089 1.4369 18.1585
La Fe Ni O
8 2 6 24
direct
0.0620 0.0638 0.3119
0.1877 0.1863 0.9347
0.3134 0.3133 0.5634
0.4355 0.4387 0.1902
0.5645 0.5613 0.8098
0.6866 0.6867 0.4366
0.8123 0.8137 0.0653
0.9380 0.9362 0.6881
0.0000 0.0000 0.5000
0.5000 0.5000 0.0000
0.1240 0.1271 0.1251
0.2501 0.2498 0.7501
0.3775 0.3716 0.3750
0.6225 0.6284 0.6250
0.7499 0.7502 0.2499
0.8760 0.8729 0.8749
0.0007 0.8734 0.1872
0.0162 0.5777 0.3274
0.0478 0.6070 0.7965
0.2063 0.6343 0.4536
0.2405 0.6669 0.9218
0.2498 0.3789 0.0612
0.2564 0.1197 0.4368
0.2613 0.8286 0.5801
0.2984 0.8598 0.0452
0.4528 0.8932 0.7042
0.4856 0.9218 0.1718
0.5004 0.3744 0.6883
0.4996 0.6256 0.3117
0.5144 0.0782 0.8282
0.5472 0.1068 0.2958
0.7016 0.1402 0.9548
0.7387 0.1714 0.4199
0.7436 0.8803 0.5632
0.7502 0.6211 0.9388
0.7595 0.3331 0.0782
0.7937 0.3657 0.5464
0.9522 0.3930 0.2035
0.9838 0.4223 0.6726
0.9993 0.1266 0.8128
```


The following is a simulated X-ray powder pattern of La7Fe2O16. It was derived from a structure optimized by DFT (GGA+U), using Cu Kα.
Peak positions follow from Bragg's law for the DFT cell and can differ from measured ones.

Principal peaks in the range 10° ≤ 2θ ≤ 80°, low angle first:
2theta, d/Å, I/Imax
24.4, 3.647, 67.5
31.5, 2.842, 100.0
33.1, 2.704, 40.7
33.5, 2.675, 40.6
43.8, 2.067, 30.6
47.8, 1.902, 43.0

```
La7Fe2O16
1.0
5.3499 -5.4087 0.0000
5.3499 5.4087 0.0000
-2.6842 0.0000 6.4139
La Fe O
7 2 16
direct
0.0000 0.0000 0.0000
0.0170 0.5143 0.0535
0.3757 0.3757 0.5006
0.3778 0.8773 0.5071
0.5143 0.0170 0.0535
0.5185 0.5185 0.0537
0.8773 0.3778 0.5071
0.1939 0.1939 0.7693
0.6939 0.6939 0.7677
0.1313 0.1313 0.4697
0.1374 0.5634 0.3953
0.2028 0.4405 0.7849
0.2057 0.9589 0.7876
0.2764 0.2764 0.0919
0.3005 0.7827 0.1542
0.4405 0.2028 0.7849
0.4531 0.6914 0.7782
0.5634 0.1374 0.3953
0.6014 0.6014 0.4561
0.6898 0.9368 0.7794
0.6914 0.4531 0.7782
0.7690 0.7690 0.0716
0.7827 0.3005 0.1542
0.9368 0.6898 0.7794
0.9589 0.2057 0.7876
```


The following is a simulated X-ray powder pattern of La4FeO8. It was derived from a structure optimized by DFT (GGA+U), using Cu Kα.
Peak positions follow from Bragg's law for the DFT cell and can differ from measured ones.

Principal peaks in the range 10° ≤ 2θ ≤ 80°, low angle first:
2theta, d/Å, I/Imax
24.5, 3.626, 63.8
27.5, 3.248, 27.6
31.4, 2.846, 100.0
33.5, 2.677, 37.3
33.6, 2.664, 36.7
48.2, 1.888, 37.8

```
La4FeO8
1.0
2.6639 -6.4970 0.0000
2.6639 6.4970 0.0000
0.0000 0.0000 5.3535
La Fe O
4 1 8
direct
0.1362 0.8638 0.0000
0.3624 0.6376 0.5000
0.6376 0.3624 0.5000
0.8638 0.1362 0.0000
0.5000 0.5000 0.0000
0.1874 0.8126 0.5000
0.2550 0.2550 0.2394
0.2550 0.2550 0.7606
0.3253 0.6747 0.0000
0.6747 0.3253 0.0000
0.7450 0.7450 0.2394
0.7450 0.7450 0.7606
0.8126 0.1874 0.5000
```


The following is a simulated X-ray powder pattern of La2FeP2O. It was derived from a structure optimized by DFT (GGA+U), using Cu Kα.
Peak positions follow from Bragg's law for the DFT cell and can differ from measured ones.

Principal peaks in the range 10° ≤ 2θ ≤ 80°, low angle first:
2theta, d/Å, I/Imax
18.2, 4.873, 34.1
25.8, 3.449, 100.0
31.8, 2.815, 36.0
36.9, 2.438, 49.2
45.6, 1.990, 23.7
53.1, 1.724, 27.6

```
La2FeP2O
1.0
3.4492 0.0000 0.0000
0.0000 3.4492 0.0000
0.0000 0.0000 14.6185
La Fe P O
2 1 2 1
direct
0.0000 0.0000 0.1442
0.0000 0.0000 0.8558
0.0000 0.0000 0.5000
0.0000 0.0000 0.3438
0.0000 0.0000 0.6562
0.0000 0.0000 0.0000
```


The following is a simulated X-ray powder pattern of LaFePO. It was derived from a structure optimized by DFT (GGA+U), using Cu Kα.
Peak positions follow from Bragg's law for the DFT cell and can differ from measured ones.

Principal peaks in the range 10° ≤ 2θ ≤ 80°, low angle first:
2theta, d/Å, I/Imax
24.0, 3.713, 30.9
29.5, 3.030, 100.0
32.6, 2.743, 34.4
37.0, 2.430, 31.1
51.2, 1.783, 42.0
54.3, 1.689, 40.0

```
LaFePO
1.0
4.0689 0.0000 0.0000
0.0000 4.0689 0.0000
0.0000 0.0000 9.0850
La Fe P O
2 2 2 2
direct
0.2500 0.2500 0.1352
0.7500 0.7500 0.8648
0.2500 0.7500 0.5000
0.7500 0.2500 0.5000
0.2500 0.2500 0.6658
0.7500 0.7500 0.3342
0.2500 0.7500 0.0000
0.7500 0.2500 0.0000
```


The following is a simulated X-ray powder pattern of LaFeReO6. It was derived from a structure optimized by DFT (GGA+U), using Cu Kα.
Peak positions follow from Bragg's law for the DFT cell and can differ from measured ones.

Principal peaks in the range 10° ≤ 2θ ≤ 80°, low angle first:
2theta, d/Å, I/Imax
19.5, 4.552, 100.0
19.7, 4.503, 35.8
22.6, 3.932, 40.7
32.1, 2.787, 64.6
32.3, 2.769, 95.7
46.1, 1.968, 36.7

```
LaFeReO6
1.0
5.5321 0.0000 0.0000
0.0000 5.6016 0.0000
-5.4659 0.0000 7.8451
La Fe Re O
2 2 2 12
direct
0.0000 0.2020 0.0000
0.0000 0.7980 0.5000
0.7602 0.2551 0.2531
0.7602 0.7449 0.7531
0.2624 0.2607 0.7534
0.2624 0.7393 0.2534
0.0301 0.4710 0.2187
0.0301 0.5290 0.7187
0.0748 0.2411 0.5164
0.0748 0.7589 0.0164
0.4228 0.2597 0.9911
0.4228 0.7403 0.4911
0.5056 0.0089 0.2815
0.5056 0.9911 0.7815
0.5733 0.4498 0.7921
0.5733 0.5502 0.2921
0.9797 0.0377 0.7284
0.9797 0.9623 0.2284
```


The following is a simulated X-ray powder pattern of La5FeRe3O16. It was derived from a structure optimized by DFT (GGA+U), using Cu Kα.
Peak positions follow from Bragg's law for the DFT cell and can differ from measured ones.

Principal peaks in the range 10° ≤ 2θ ≤ 80°, low angle first:
2theta, d/Å, I/Imax
18.3, 4.842, 33.6
28.1, 3.173, 87.8
29.5, 3.023, 71.5
31.4, 2.846, 100.0
32.9, 2.725, 32.0
44.8, 2.021, 36.8

```
La5FeRe3O16
1.0
5.7060 0.0000 0.0000
0.0538 11.4012 0.0000
0.7183 5.0547 10.2407
La Fe Re O
10 2 6 32
direct
0.0000 0.0000 0.0000
0.0000 0.5000 0.0000
0.0243 0.0923 0.3025
0.0238 0.5918 0.3032
0.4969 0.1622 0.7075
0.4968 0.6632 0.7073
0.5032 0.3368 0.2927
0.5031 0.8378 0.2925
0.9762 0.4082 0.6968
0.9757 0.9077 0.6975
0.5000 0.0000 0.5000
0.5000 0.5000 0.5000
0.9996 0.2501 0.5000
0.0004 0.7499 0.5000
0.4442 0.3305 0.8943
0.4448 0.8298 0.8952
0.5552 0.1702 0.1048
0.5558 0.6695 0.1057
0.0786 0.3026 0.3163
0.0800 0.8027 0.3160
0.1816 0.4038 0.4968
0.1895 0.9049 0.4961
0.2204 0.4749 0.8252
0.2212 0.9746 0.8255
0.2310 0.7158 0.8649
0.2322 0.2162 0.8639
0.2828 0.1421 0.5396
0.2865 0.6442 0.5391
0.3028 0.0451 0.1343
0.3030 0.5451 0.1356
0.3061 0.3130 0.0642
0.3061 0.8122 0.0657
0.4501 0.1248 0.2988
0.4532 0.6219 0.3028
0.5468 0.3781 0.6972
0.5499 0.8752 0.7012
0.6939 0.1878 0.9343
0.6939 0.6870 0.9358
0.6970 0.4549 0.8644
0.6972 0.9549 0.8657
0.7135 0.3558 0.4609
0.7172 0.8579 0.4604
0.7678 0.7838 0.1361
0.7690 0.2842 0.1351
0.7788 0.0254 0.1745
0.7796 0.5251 0.1748
0.8105 0.0951 0.5039
0.8184 0.5962 0.5032
0.9200 0.1973 0.6840
0.9214 0.6974 0.6837
```


Q: Number 5 is which compound?
A: La4FeO8


What did the fifth record say?
The following is a simulated X-ray powder pattern of La4FeO8. It was derived from a structure optimized by DFT (GGA+U), using Cu Kα.
Peak positions follow from Bragg's law for the DFT cell and can differ from measured ones.

Principal peaks in the range 10° ≤ 2θ ≤ 80°, low angle first:
2theta, d/Å, I/Imax
24.5, 3.626, 63.8
27.5, 3.248, 27.6
31.4, 2.846, 100.0
33.5, 2.677, 37.3
33.6, 2.664, 36.7
48.2, 1.888, 37.8

```
La4FeO8
1.0
2.6639 -6.4970 0.0000
2.6639 6.4970 0.0000
0.0000 0.0000 5.3535
La Fe O
4 1 8
direct
0.1362 0.8638 0.0000
0.3624 0.6376 0.5000
0.6376 0.3624 0.5000
0.8638 0.1362 0.0000
0.5000 0.5000 0.0000
0.1874 0.8126 0.5000
0.2550 0.2550 0.2394
0.2550 0.2550 0.7606
0.3253 0.6747 0.0000
0.6747 0.3253 0.0000
0.7450 0.7450 0.2394
0.7450 0.7450 0.7606
0.8126 0.1874 0.5000
```